This entry pairs a crystal structure of UMn2NbO8 with its computed XRD peak list. Radiation: Cu Kα, 1.54184 Å. Structure: a crystal structure in Alexandria, relaxed with PBE+U.
Lines closer than 0.1° are merged.

Peak list (12 most intense, 2θ from 10° to 90°, in order of rising 2θ)
d (Å), 2θ (°), I_rel
6.474, 13.68, 18
4.862, 18.25, 65
3.888, 22.87, 30
3.548, 25.10, 74
3.338, 26.71, 61
2.694, 33.25, 100
2.431, 36.98, 29
2.391, 37.62, 25
2.123, 42.58, 14
1.836, 49.66, 48
1.775, 51.48, 52
1.449, 64.28, 27

Structure:
Unit cell a=4.8712 b=4.8712 c=6.4735 alpha=90.00 beta=90.00 gamma=93.49
Sites, in units of the cell vectors:
U1 0.0000 0.0000 0.0000
Mn1 0.5000 0.5000 0.2604
Mn2 0.5000 0.5000 0.7396
Nb1 0.0000 0.0000 0.5000
O1 0.1832 0.8168 0.2581
O2 0.1832 0.8168 0.7419
O3 0.2987 0.2987 0.5000
O4 0.3072 0.3072 0.0000
O5 0.6928 0.6928 0.0000
O6 0.7013 0.7013 0.5000
O7 0.8168 0.1832 0.2581
O8 0.8168 0.1832 0.7419